Structure and calculated powder XRD pattern of Tb4Tm4Th3 (a PBE-relaxed structure; λ = 1.5418 Å (Cu Kα)).
Peak positions follow from Bragg's law for the DFT cell and can differ from measured ones.

Main lines, by angle (10 to 90 degrees two-theta):
29.51 deg, I = 172; 31.58 deg, I = 287; 32.45 deg, I = 1000; 34.87 deg, I = 95; 43.76 deg, I = 119; 49.22 deg, I = 106; 56.79 deg, I = 207; 59.66 deg, I = 121; 61.63 deg, I = 87; 62.17 deg, I = 143

Cell and atoms:
```
Tb4Tm4Th3
1.0
3.5523 0.0000 0.0000
0.0006 5.6665 0.0000
0.0034 2.8331 17.3524
Tb Tm Th
4 4 3
Cartesian
3.5522 1.4174 1.0435
0.0041 7.0823 16.3089
0.0060 4.2491 12.0853
3.5504 4.2506 5.2671
0.0067 7.0818 10.2608
1.7807 4.2491 15.2598
1.7756 4.2505 2.0926
3.5497 1.4179 7.0916
1.7737 1.4175 4.1372
1.7782 4.2498 8.6762
1.7826 7.0821 13.2152
```